Starting from a cell relaxed with GGA-PBE, the PXRD pattern of MoP4 was simulated for Cu Kα.
No peak broadening, texture or thermal motion is included.

Top 6 peaks for 2θ = 10–80°, in order of falling intensity:
2θ/deg  I/Imax
30.85  100.0
19.45  88.4
32.66  63.7
39.53  37.5
52.87  35.0
47.14  31.7

Cell and atoms:
```
MoP4
1.0
2.670 -5.609 0.000
2.670 5.609 0.000
-2.073 0.000 5.483
Mo P
2 8
direct
0.059 0.941 0.750 Mo
0.941 0.059 0.250 Mo
0.055 0.500 0.189 P
0.185 0.373 0.683 P
0.373 0.185 0.183 P
0.500 0.055 0.689 P
0.500 0.945 0.311 P
0.627 0.815 0.817 P
0.815 0.627 0.317 P
0.945 0.500 0.811 P
```